Starting from a GGA-PBE-relaxed structure, the PXRD pattern of MgRu2 was calculated for copper Kα.

Crystal structure
Unit cell a=5.1667 b=5.1667 c=5.1667 alpha=60.00 beta=60.00 gamma=60.00
Fractional coordinates of all 6 atoms:
Mg (0.1250, 0.1250, 0.1250)
Mg (0.8750, 0.8750, 0.8750)
Ru (0.0000, 0.5000, 0.5000)
Ru (0.5000, 0.0000, 0.5000)
Ru (0.5000, 0.5000, 0.0000)
Ru (0.5000, 0.5000, 0.5000)

Peak list (6 most intense, 10° ≤ 2θ ≤ 90°, low angle first)
21.06°, I = 94; 40.97°, I = 100; 42.87°, I = 84; 49.92°, I = 31; 73.29°, I = 31; 88.83°, I = 31